(1)
Computed powder XRD pattern of Pr2Sm3Pb4 for Cu Kα (λ = 1.5418 Å), from DFT lattice parameters and positions (PBE).
Intensities are scaled so that the largest is 100.

a = 8.628 Å, b = 8.608 Å, c = 8.320 Å
α = 90.00°, β = 111.37°, γ = 90.00°
Space group P2_1/c (No. 14)
Symmetry-distinct sites (fractional):
Pr  0.194  0.180  0.060 [4 per cell]
Sm  0.244  0.662  0.237 [4 per cell]
Sm  0.500  0.000  0.500 [2 per cell]
Pb  0.085  0.539  0.831 [4 per cell]
Pb  0.489  0.139  0.862 [4 per cell]

Main lines, in order of rising 2θ (2θ from 5° to 70°):
(hkl)  Position (°2θ)  d_spacing  intensity
2 1 -2  27.5  3.240  46
1 2 1  27.9  3.197  33
2 2 -1  29.5  3.026  100
1 2 -2  30.0  2.979  52
2 2 0  30.4  2.939  61
1 1 2  30.8  2.899  89
3 0 -2  33.0  2.714  39
0 3 1  33.3  2.691  53
3 0 0  33.5  2.678  32
1 1 -3  34.0  2.637  82

=====

(2)
Computed powder XRD pattern of Na6Pr for Cu Kα (λ = 1.5418 Å), from DFT lattice parameters and positions (PBE).
Intensities are scaled so that the largest is 100.

a = 8.235 Å, b = 8.235 Å, c = 8.235 Å
α = 90.00°, β = 90.00°, γ = 90.00°
Space group Im-3m (No. 229)
Symmetry-distinct sites (fractional):
Na  0.000  0.250  0.500 [12 per cell]
Pr  0.000  0.000  0.000 [2 per cell]

Main lines, in order of rising 2θ (2θ from 5° to 70°):
(hkl)  Position (°2θ)  d_spacing  intensity
1 1 0  15.2  5.823  42
2 0 0  21.6  4.118  42
2 1 1  26.5  3.362  100
3 1 0  34.4  2.604  12
3 2 1  41.0  2.201  62
4 0 0  44.0  2.059  14
4 2 0  49.5  1.841  18
3 3 2  52.1  1.756  15
5 1 0  57.0  1.615  9
5 2 1  61.7  1.504  18

=====

(3)
Computed powder XRD pattern of Mg5Os3 for Cu Kα (λ = 1.5418 Å), from DFT lattice parameters and positions (PBE).
Intensities are scaled so that the largest is 100.

a = 8.2713 Å, b = 8.2713 Å, c = 4.8396 Å
α = 90.00°, β = 90.00°, γ = 120.00°
Space group P6_3/mcm (No. 193)
Symmetry-distinct sites (fractional):
Mg  0.0000  0.2367  0.2500 [6 per cell]
Mg  0.3333  0.6667  0.0000 [4 per cell]
Os  0.0000  0.4383  0.7500 [6 per cell]

Main lines, in order of rising 2θ (2θ from 5° to 70°):
(hkl)  Position (°2θ)  d_spacing  intensity
1 0 0  12.4  7.163  73
1 1 0  21.5  4.136  29
2 0 0  24.9  3.582  100
1 1 1  28.4  3.144  45
2 1 0  33.1  2.707  17
0 0 2  37.2  2.420  25
2 1 1  38.1  2.363  68
1 1 2  43.3  2.089  23
2 0 2  45.2  2.005  53
3 1 1  49.6  1.838  69

=====

(4)
Computed powder XRD pattern of LiTm2GeO5 for Cu Kα (λ = 1.5418 Å), from DFT lattice parameters and positions (PBE).
Intensities are scaled so that the largest is 100.

a = 6.394 Å, b = 6.394 Å, c = 5.707 Å
α = 90.00°, β = 90.00°, γ = 90.00°
Space group P4/mbm (No. 127)
Symmetry-distinct sites (fractional):
Li  0.000  0.000  0.000 [2 per cell]
Tm  0.177  0.323  0.500 [4 per cell]
Ge  0.000  0.500  0.000 [2 per cell]
O  0.000  0.000  0.500 [2 per cell]
O  0.140  0.640  0.251 [8 per cell]

Main lines, in order of rising 2θ (2θ from 5° to 70°):
(hkl)  Position (°2θ)  d_spacing  intensity
0 0 1  15.5  5.707  100
1 1 0  19.6  4.521  35
0 0 2  31.3  2.857  68
2 0 1  32.1  2.789  67
2 1 1  35.1  2.557  85
2 1 2  44.9  2.020  67
0 0 3  47.7  1.905  39
2 1 3  58.2  1.584  20
4 1 1  62.0  1.496  24
4 1 2  68.9  1.363  19